1.
Simulated powder diffraction line list of Tc2NiRh for Cu Kα, from a cell relaxed with GGA-PBE.

Structural model:
```
4
Lattice="2.6829 0.0000 0.0000 0.0000 3.8440 0.0000 0.0000 0.0000 5.2788" Properties=species:S:1:pos:R:3 pbc="T T T"
Tc 0.0000 0.0000 1.2116
Tc 0.0000 0.0000 4.0672
Ni 1.3414 1.9220 0.0000
Rh 1.3414 1.9220 2.6394
```

The 10 most intense peaks (2θ = 10–90°), in order of rising 2θ:
| 2theta | I_rel |
| --- | --- |
| 41.0 | 100.0 |
| 41.5 | 93.3 |
| 47.3 | 32.9 |
| 48.4 | 59.2 |
| 70.0 | 37.6 |
| 83.6 | 11.9 |
| 83.9 | 11.4 |
| 84.9 | 22.2 |
| 85.9 | 19.4 |
| 89.0 | 10.4 |

---

2.
Simulated powder diffraction line list of Ba3PtS2 for Cu Kα, from a cell relaxed with GGA-PBE.

Structural model:
```
12
Lattice="4.5499 0.0000 0.0000 0.0000 6.4536 0.0000 0.0000 0.0000 13.7814" Properties=species:S:1:pos:R:3 pbc="T T T"
Ba 0.0000 0.0000 0.0000
Ba 0.0000 0.0000 4.5604
Ba 0.0000 0.0000 9.2210
Ba 2.2749 3.2268 2.3303
Ba 2.2749 3.2268 6.8907
Ba 2.2749 3.2268 11.4511
Pt 0.0000 3.2268 0.0000
Pt 2.2749 0.0000 6.8907
S 0.0000 3.2268 4.5871
S 0.0000 3.2268 9.1943
S 2.2749 0.0000 2.3036
S 2.2749 0.0000 11.4778
```

The 10 most intense peaks (2θ = 10–90°), in order of rising 2θ:
| 2theta | I_rel |
| --- | --- |
| 12.8 | 9.6 |
| 15.2 | 14.2 |
| 27.6 | 100.0 |
| 39.2 | 12.8 |
| 39.5 | 50.6 |
| 39.6 | 12.5 |
| 48.7 | 15.6 |
| 49.0 | 13.5 |
| 64.5 | 24.4 |
| 71.8 | 13.0 |

---

3.
Simulated powder diffraction line list of Tb3Ga3Si2 for Cu Kα, from a cell relaxed with GGA-PBE.

Structural model:
```
16
Lattice="2.0228 -5.4668 0.0000 2.0228 5.4668 0.0000 0.0000 0.0000 15.3228" Properties=species:S:1:pos:R:3 pbc="T T T"
Tb 2.0228 4.6759 11.4921
Tb 2.0228 1.5543 9.0758
Tb 2.0228 1.5543 13.9083
Tb 2.0228 -1.5543 1.4144
Tb 2.0228 -1.5543 6.2470
Tb 2.0228 -4.6759 3.8307
Ga 2.0228 4.6538 8.5319
Ga 2.0228 4.6538 14.4523
Ga 2.0228 3.3399 3.8307
Ga 2.0228 -3.3399 11.4921
Ga 2.0228 -4.6538 0.8705
Ga 2.0228 -4.6538 6.7909
Si 2.0228 1.6863 1.8593
Si 2.0228 1.6863 5.8021
Si 2.0228 -1.6863 9.5207
Si 2.0228 -1.6863 13.4635
```

The 10 most intense peaks (2θ = 10–90°), in order of rising 2θ:
| 2theta | I_rel |
| --- | --- |
| 23.8 | 36.1 |
| 29.3 | 55.2 |
| 32.8 | 23.5 |
| 33.1 | 31.8 |
| 33.3 | 100.0 |
| 33.6 | 55.2 |
| 35.1 | 60.0 |
| 40.8 | 24.5 |
| 44.6 | 40.0 |
| 44.8 | 34.9 |

---

4.
Simulated powder diffraction line list of Dy7SnRu4 for Cu Kα, from a cell relaxed with GGA-PBE.

Structural model:
```
12
Lattice="6.7431 -2.7624 0.0000 6.7431 2.7624 0.0000 -5.6683 0.0000 7.7982" Properties=species:S:1:pos:R:3 pbc="T T T"
Dy 0.0000 0.0000 0.0000
Dy -1.1467 0.0000 4.9401
Dy 3.2025 0.0000 0.9458
Dy 2.1770 0.0000 4.8772
Dy 5.6408 0.0000 2.9210
Dy 4.6153 0.0000 6.8524
Dy 8.9646 0.0000 2.8580
Sn 6.7431 0.0000 0.0000
Ru -3.5166 0.0000 6.0557
Ru 0.6873 0.0000 2.7350
Ru 7.1305 0.0000 5.0632
Ru 11.3344 0.0000 1.7425
```

The 10 most intense peaks (2θ = 10–90°), in order of rising 2θ:
| 2theta | I_rel |
| --- | --- |
| 27.6 | 31.0 |
| 30.5 | 28.8 |
| 32.4 | 100.0 |
| 32.5 | 45.7 |
| 32.9 | 39.6 |
| 36.6 | 69.7 |
| 38.6 | 49.9 |
| 39.3 | 27.1 |
| 45.1 | 19.7 |
| 51.5 | 20.9 |

---

5.
Simulated powder diffraction line list of Tb8Dy3Th for Cu Kα, from a cell relaxed with GGA-PBE.

Structural model:
```
12
Lattice="-3.8521 3.8521 7.7262 3.8521 -3.8521 7.7262 3.8521 3.8521 -7.7262" Properties=species:S:1:pos:R:3 pbc="T T T"
Tb 1.9200 1.9200 -1.9246
Tb 1.9320 -1.9320 5.8016
Tb 1.9200 1.9200 1.9246
Tb 1.9320 -1.9320 9.6508
Tb -1.9320 1.9320 5.8016
Tb 1.9320 1.9320 5.8016
Tb -1.9320 1.9320 9.6508
Tb 1.9320 1.9320 9.6508
Dy 3.8521 0.0000 3.8631
Dy 0.0000 0.0000 7.7262
Dy 0.0000 3.8521 3.8631
Th 0.0000 0.0000 0.0000
```

The 10 most intense peaks (2θ = 10–90°), in order of rising 2θ:
| 2theta | I_rel |
| --- | --- |
| 19.9 | 29.4 |
| 23.1 | 9.9 |
| 32.8 | 100.0 |
| 38.7 | 16.5 |
| 47.0 | 6.2 |
| 47.2 | 12.2 |
| 51.7 | 7.3 |
| 58.6 | 38.5 |
| 68.8 | 7.9 |
| 78.5 | 11.0 |

---

6.
Simulated powder diffraction line list of La5ThPd for Cu Kα, from a cell relaxed with GGA-PBE.

Structural model:
```
14
Lattice="6.9191 -3.4356 0.0000 6.9191 3.4356 0.0000 -4.1795 0.0000 9.8896" Properties=species:S:1:pos:R:3 pbc="T T T"
La 2.5682 0.2094 1.0951
La 3.7845 1.7911 7.4172
La 0.4784 -0.2094 6.0399
La 3.2420 0.0713 4.2864
La 1.1522 -0.0713 9.2312
La 8.5065 0.0713 0.6584
La 6.4168 -0.0713 5.6033
La 9.1803 0.2094 3.8498
La 5.8742 -1.7911 2.4724
La 7.0906 -0.2094 8.7946
Th 5.8742 1.8167 2.4724
Th 3.7845 -1.8167 7.4172
Pd 0.0000 0.0000 0.0000
Pd -2.0897 0.0000 4.9448
```

The 10 most intense peaks (2θ = 10–90°), in order of rising 2θ:
| 2theta | I_rel |
| --- | --- |
| 26.8 | 63.4 |
| 29.5 | 33.1 |
| 31.7 | 100.0 |
| 33.4 | 46.9 |
| 35.3 | 45.7 |
| 37.6 | 18.1 |
| 45.2 | 21.0 |
| 47.5 | 20.5 |
| 52.0 | 19.9 |
| 58.6 | 17.4 |

---

7.
Simulated powder diffraction line list of HgSb2Pd7 for Cu Kα, from a cell relaxed with GGA-PBE.

Structural model:
```
10
Lattice="-2.0470 2.0470 11.0254 2.0470 -2.0470 11.0254 2.0470 2.0470 -11.0254" Properties=species:S:1:pos:R:3 pbc="T T T"
Hg 0.0000 0.0000 0.0000
Sb 0.0000 0.0000 7.2948
Sb 0.0000 0.0000 14.7561
Pd 2.0470 0.0000 2.0458
Pd 2.0470 0.0000 5.5127
Pd 2.0470 0.0000 8.9796
Pd 0.0000 0.0000 11.0254
Pd 0.0000 2.0470 2.0458
Pd 0.0000 2.0470 5.5127
Pd 0.0000 2.0470 8.9796
```

The 10 most intense peaks (2θ = 10–90°), in order of rising 2θ:
| 2theta | I_rel |
| --- | --- |
| 24.9 | 27.2 |
| 35.0 | 8.3 |
| 39.6 | 100.0 |
| 44.2 | 38.2 |
| 49.6 | 11.3 |
| 51.4 | 7.7 |
| 64.4 | 12.3 |
| 68.6 | 16.8 |
| 78.3 | 26.7 |
| 85.4 | 9.4 |

---

8.
Simulated powder diffraction line list of Mg5Zn2Cd2Hg for Cu Kα, from a cell relaxed with GGA-PBE.

Structural model:
```
20
Lattice="10.0745 0.0000 0.0000 0.0000 10.0745 0.0000 0.0000 0.0000 4.1673" Properties=species:S:1:pos:R:3 pbc="T T T"
Mg 0.0000 5.0373 0.0000
Mg 0.8278 2.0138 0.0000
Mg 2.0138 9.2468 0.0000
Mg 3.0234 4.2095 0.0000
Mg 4.2095 7.0511 0.0000
Mg 5.0373 0.0000 0.0000
Mg 5.8650 3.0234 0.0000
Mg 7.0511 5.8650 0.0000
Mg 8.0607 0.8278 0.0000
Mg 9.2468 8.0607 0.0000
Zn 1.2557 3.7815 2.0836
Zn 3.7815 8.8188 2.0836
Zn 6.2930 1.2557 2.0836
Zn 8.8188 6.2930 2.0836
Cd 1.7104 6.7477 2.0836
Cd 3.3268 1.7104 2.0836
Cd 6.7477 8.3641 2.0836
Cd 8.3641 3.3268 2.0836
Hg 0.0000 0.0000 2.0836
Hg 5.0373 5.0373 2.0836
```

The 10 most intense peaks (2θ = 10–90°), in order of rising 2θ:
| 2theta | I_rel |
| --- | --- |
| 21.3 | 44.4 |
| 25.0 | 19.0 |
| 28.0 | 48.0 |
| 33.1 | 24.4 |
| 35.5 | 100.0 |
| 36.8 | 14.3 |
| 38.8 | 11.3 |
| 40.0 | 17.0 |
| 43.4 | 17.6 |
| 52.5 | 17.0 |

---

Copy entry 4 word for word.
Simulated powder diffraction line list of Dy7SnRu4 for Cu Kα, from a cell relaxed with GGA-PBE.

Structural model:
```
12
Lattice="6.7431 -2.7624 0.0000 6.7431 2.7624 0.0000 -5.6683 0.0000 7.7982" Properties=species:S:1:pos:R:3 pbc="T T T"
Dy 0.0000 0.0000 0.0000
Dy -1.1467 0.0000 4.9401
Dy 3.2025 0.0000 0.9458
Dy 2.1770 0.0000 4.8772
Dy 5.6408 0.0000 2.9210
Dy 4.6153 0.0000 6.8524
Dy 8.9646 0.0000 2.8580
Sn 6.7431 0.0000 0.0000
Ru -3.5166 0.0000 6.0557
Ru 0.6873 0.0000 2.7350
Ru 7.1305 0.0000 5.0632
Ru 11.3344 0.0000 1.7425
```

The 10 most intense peaks (2θ = 10–90°), in order of rising 2θ:
| 2theta | I_rel |
| --- | --- |
| 27.6 | 31.0 |
| 30.5 | 28.8 |
| 32.4 | 100.0 |
| 32.5 | 45.7 |
| 32.9 | 39.6 |
| 36.6 | 69.7 |
| 38.6 | 49.9 |
| 39.3 | 27.1 |
| 45.1 | 19.7 |
| 51.5 | 20.9 |